(1)
Starting from a GGA-PBE-relaxed structure, the XRD peak list of La2PmPr4Tm was computed for Cu Kα.
Peak positions follow from Bragg's law for the DFT cell and can differ from measured ones.

Main lines, sorted by position (10° ≤ 2θ ≤ 80°):
2θ (°), intensity
29.68, 100
34.25, 17
34.40, 17
34.55, 17
49.36, 18
49.52, 18
58.53, 15
58.73, 14
58.93, 14
61.62, 13

Cell and atoms:
```
data_La2PmPr4Tm
_chemical_formula_sum 'La2 Pm1 Pr4 Tm1'
_space_group_name_H-M_alt 'P 1 2/m 1'
_space_group_IT_number 10
_space_group_name_Hall '-P 2y'
_cell_length_a 5.192
_cell_length_b 5.215
_cell_length_c 10.472
_cell_angle_alpha 90.00
_cell_angle_beta 90.06
_cell_angle_gamma 90.00
loop_
_atom_site_label
_atom_site_type_symbol
_atom_site_fract_x
_atom_site_fract_y
_atom_site_fract_z
_atom_site_occupancy
La1 La 0.000 0.000 0.000 1
La2 La 0.500 0.500 0.500 1
Pm1 Pm 0.000 0.000 0.500 1
Pr1 Pr 0.001 0.500 0.753 1
Pr2 Pr 0.500 0.000 0.248 1
Tm1 Tm 0.500 0.500 0.000 1
```

=====

(2)
Starting from a GGA-PBE-relaxed structure, the XRD peak list of LaPmPr2Tm4 was computed for Cu Kα.
Peak positions follow from Bragg's law for the DFT cell and can differ from measured ones.

Main lines, sorted by position (10° ≤ 2θ ≤ 80°):
2θ (°), intensity
30.45, 100
34.76, 35
36.36, 16
49.90, 6
50.05, 6
51.18, 24
59.60, 15
59.69, 11
61.78, 13
63.29, 6

Cell and atoms:
```
data_LaPmPr2Tm4
_chemical_formula_sum 'La2 Pm2 Pr4 Tm8'
_space_group_name_H-M_alt 'P 1'
_space_group_IT_number 1
_space_group_name_Hall 'P 1'
_cell_length_a 7.289
_cell_length_b 7.310
_cell_length_c 9.884
_cell_angle_alpha 90.00
_cell_angle_beta 90.04
_cell_angle_gamma 90.11
loop_
_atom_site_label
_atom_site_type_symbol
_atom_site_fract_x
_atom_site_fract_y
_atom_site_fract_z
_atom_site_occupancy
La1 La 0.000 0.000 0.000 1
La2 La 0.500 0.001 0.000 1
Pm1 Pm 0.000 0.001 0.500 1
Pm2 Pm 0.000 0.500 0.000 1
Pr1 Pr 0.000 0.501 0.500 1
Pr2 Pr 0.500 0.000 0.500 1
Pr3 Pr 0.500 0.500 0.500 1
Pr4 Pr 0.500 0.501 0.000 1
Tm1 Tm 0.249 0.251 0.251 1
Tm2 Tm 0.249 0.251 0.749 1
Tm3 Tm 0.249 0.749 0.749 1
Tm4 Tm 0.249 0.750 0.251 1
Tm5 Tm 0.751 0.251 0.251 1
Tm6 Tm 0.751 0.251 0.749 1
Tm7 Tm 0.751 0.749 0.749 1
Tm8 Tm 0.751 0.750 0.251 1
```